This entry pairs a crystal structure of PH6PbCBr3 with its calculated X-ray powder pattern. Radiation: CuKα. Structure: a DFT-relaxed cell (GGA-PBE, Alexandria).

Structure:
```
PH6PbCBr3
1.0
6.0975 0.0000 0.0000
-0.0021 8.6618 0.0000
-0.0116 -0.0224 8.6715
P H Pb C Br
2 12 2 2 6
Cartesian
0.0000 0.0000 0.0000
6.0879 3.4381 5.1226
-0.0100 1.2532 8.0894
6.0874 5.7321 5.7602
0.8920 0.7219 2.0840
0.8896 5.4567 4.2295
1.1315 3.0522 5.8620
1.1306 7.9354 8.2297
4.9479 3.0515 5.8635
4.9438 7.9334 8.2217
5.1882 0.7198 2.0772
5.1866 5.4561 4.2302
6.0874 2.7273 3.9158
6.0879 7.8357 2.2427
3.0311 4.3023 0.7798
3.0359 8.5573 5.0688
6.0871 5.1958 4.8043
6.0906 0.1672 1.7805
6.0881 0.0772 5.3393
0.0105 4.2508 0.5507
3.0398 2.4029 3.1504
3.0373 6.6687 2.7429
3.0398 1.9663 7.4256
3.0380 6.3939 7.1240
```

Largest 6 diffraction maxima, in order of rising 2θ, 2θ = 15–90°:
20.53 deg, d 4.326, I 86
29.14 deg, d 3.064, I 100
29.29 deg, d 3.049, I 60
32.68 deg, d 2.740, I 98
32.80 deg, d 2.731, I 59
44.43 deg, d 2.039, I 59